No. 1
# TaTlCu2Se4
Computed X-ray powder pattern, Cu Kα X-rays. Input: a structure optimized by DFT (GGA-PBE).
Kinematic intensities with the Lorentz-polarization factor, no thermal factor.

Cell and atoms:
```
data_TaTlCu2Se4
_chemical_formula_sum 'Ta1 Tl1 Cu2 Se4'
_cell_length_a 6.8356
_cell_length_b 6.8218
_cell_length_c 6.4389
_cell_angle_alpha 61.98
_cell_angle_beta 61.76
_cell_angle_gamma 56.26
_space_group_name_H-M_alt 'P 1'
_space_group_IT_number 1
_space_group_name_Hall 'P 1'
loop_
_atom_site_label
_atom_site_type_symbol
_atom_site_fract_x
_atom_site_fract_y
_atom_site_fract_z
Ta1 Ta 0.0000 0.0000 0.0000
Tl1 Tl 0.5030 0.5030 0.4970
Cu1 Cu 0.2502 0.2502 0.2498
Cu2 Cu 0.7502 0.7502 0.7498
Se1 Se 0.0592 0.6413 0.9408
Se2 Se 0.3577 0.9425 0.0575
Se3 Se 0.6413 0.0592 0.3587
Se4 Se 0.9425 0.3577 0.6423
```

Largest 10 diffraction maxima, low angle first, 2θ = 10–80°:
d = 4.553 Å, 19.50 deg, I 20
d = 3.393 Å, 26.26 deg, I 100
d = 2.721 Å, 32.92 deg, I 17
d = 2.282 Å, 39.49 deg, I 14
d = 2.271 Å, 39.68 deg, I 14
d = 1.996 Å, 45.43 deg, I 36
d = 1.893 Å, 48.07 deg, I 19
d = 1.888 Å, 48.19 deg, I 18
d = 1.610 Å, 57.23 deg, I 8
d = 1.590 Å, 58.00 deg, I 13

No. 2
# LaPm2NdSm
Computed X-ray powder pattern, Cu Kα X-rays. Input: a structure optimized by DFT (GGA-PBE).
Kinematic intensities with the Lorentz-polarization factor, no thermal factor.

Cell and atoms:
```
data_LaPm2NdSm
_chemical_formula_sum 'La2 Pm4 Nd2 Sm2'
_cell_length_a 8.5051
_cell_length_b 6.7192
_cell_length_c 6.3377
_cell_angle_alpha 90.00
_cell_angle_beta 95.12
_cell_angle_gamma 90.00
_space_group_name_H-M_alt 'P 1'
_space_group_IT_number 1
_space_group_name_Hall 'P 1'
loop_
_atom_site_label
_atom_site_type_symbol
_atom_site_fract_x
_atom_site_fract_y
_atom_site_fract_z
La1 La 0.0000 0.0000 0.0000
La2 La 0.0000 0.0000 0.5000
Pm1 Pm 0.3087 0.3147 0.2183
Pm2 Pm 0.3087 0.6853 0.7183
Pm3 Pm 0.6913 0.3147 0.2817
Pm4 Pm 0.6913 0.6853 0.7817
Nd1 Nd 0.5000 0.1627 0.7500
Nd2 Nd 0.5000 0.8373 0.2500
Sm1 Sm 0.0000 0.4304 0.7500
Sm2 Sm 0.0000 0.5696 0.2500
```

Largest 10 diffraction maxima, low angle first, 2θ = 10–80°:
d = 3.222 Å, 27.68 deg, I 81
d = 3.156 Å, 28.28 deg, I 59
d = 3.123 Å, 28.58 deg, I 86
d = 3.020 Å, 29.58 deg, I 100
d = 2.857 Å, 31.31 deg, I 46
d = 2.836 Å, 31.54 deg, I 62
d = 2.824 Å, 31.69 deg, I 39
d = 2.643 Å, 33.92 deg, I 49
d = 2.632 Å, 34.06 deg, I 39
d = 2.095 Å, 43.19 deg, I 44

No. 3
# Mg2Tl4Pb
Computed X-ray powder pattern, Cu Kα X-rays. Input: a structure optimized by DFT (GGA-PBE).
Kinematic intensities with the Lorentz-polarization factor, no thermal factor.

Cell and atoms:
```
data_Mg2Tl4Pb
_chemical_formula_sum 'Mg8 Tl16 Pb4'
_cell_length_a 6.5334
_cell_length_b 13.1007
_cell_length_c 9.3958
_cell_angle_alpha 90.00
_cell_angle_beta 90.00
_cell_angle_gamma 90.00
_space_group_name_H-M_alt 'P 1'
_space_group_IT_number 1
_space_group_name_Hall 'P 1'
loop_
_atom_site_label
_atom_site_type_symbol
_atom_site_fract_x
_atom_site_fract_y
_atom_site_fract_z
Mg1 Mg 0.0402 0.2247 0.0327
Mg2 Mg 0.0402 0.2753 0.5327
Mg3 Mg 0.4598 0.7247 0.0327
Mg4 Mg 0.4598 0.7753 0.5327
Mg5 Mg 0.5402 0.2247 0.4673
Mg6 Mg 0.5402 0.2753 0.9673
Mg7 Mg 0.9598 0.7247 0.4673
Mg8 Mg 0.9598 0.7753 0.9673
Tl1 Tl 0.0052 0.5784 0.1503
Tl2 Tl 0.0052 0.9216 0.6503
Tl3 Tl 0.2242 0.6524 0.7546
Tl4 Tl 0.2242 0.8476 0.2546
Tl5 Tl 0.2758 0.1524 0.7546
Tl6 Tl 0.2758 0.3476 0.2546
Tl7 Tl 0.4948 0.0784 0.1503
Tl8 Tl 0.4948 0.4216 0.6503
Tl9 Tl 0.5052 0.5784 0.3497
Tl10 Tl 0.5052 0.9216 0.8497
Tl11 Tl 0.7242 0.6524 0.7454
Tl12 Tl 0.7242 0.8476 0.2454
Tl13 Tl 0.7758 0.1524 0.7454
Tl14 Tl 0.7758 0.3476 0.2454
Tl15 Tl 0.9948 0.0784 0.3497
Tl16 Tl 0.9948 0.4216 0.8497
Pb1 Pb 0.0000 0.0000 0.0000
Pb2 Pb 0.0000 0.5000 0.5000
Pb3 Pb 0.5000 0.0000 0.5000
Pb4 Pb 0.5000 0.5000 0.0000
```

Largest 10 diffraction maxima, low angle first, 2θ = 10–80°:
d = 6.550 Å, 13.52 deg, I 27
d = 3.093 Å, 28.87 deg, I 49
d = 2.923 Å, 30.58 deg, I 37
d = 2.873 Å, 31.13 deg, I 43
d = 2.826 Å, 31.67 deg, I 31
d = 2.791 Å, 32.06 deg, I 100
d = 2.761 Å, 32.43 deg, I 75
d = 2.685 Å, 33.37 deg, I 70
d = 2.354 Å, 38.24 deg, I 32
d = 1.648 Å, 55.77 deg, I 32

No. 4
# RbZn2CuS
Computed X-ray powder pattern, Cu Kα X-rays. Input: a structure optimized by DFT (GGA-PBE).
Kinematic intensities with the Lorentz-polarization factor, no thermal factor.

Cell and atoms:
```
data_RbZn2CuS
_chemical_formula_sum 'Rb1 Zn2 Cu1 S1'
_cell_length_a 6.8771
_cell_length_b 6.8771
_cell_length_c 6.0266
_cell_angle_alpha 90.00
_cell_angle_beta 90.00
_cell_angle_gamma 90.00
_space_group_name_H-M_alt 'P 1'
_space_group_IT_number 1
_space_group_name_Hall 'P 1'
loop_
_atom_site_label
_atom_site_type_symbol
_atom_site_fract_x
_atom_site_fract_y
_atom_site_fract_z
Rb1 Rb 0.0000 0.0000 0.0000
Zn1 Zn 0.0000 0.5000 0.0000
Zn2 Zn 0.5000 0.0000 0.0000
Cu1 Cu 0.5000 0.5000 0.5000
S1 S 0.0000 0.0000 0.5000
```

Largest 10 diffraction maxima, low angle first, 2θ = 10–80°:
d = 6.027 Å, 14.70 deg, I 26
d = 4.532 Å, 19.59 deg, I 51
d = 3.784 Å, 23.51 deg, I 59
d = 3.439 Å, 25.91 deg, I 100
d = 3.013 Å, 29.65 deg, I 35
d = 2.739 Å, 32.69 deg, I 30
d = 2.431 Å, 36.97 deg, I 38
d = 2.266 Å, 39.78 deg, I 62
d = 1.892 Å, 48.08 deg, I 35
d = 1.370 Å, 68.50 deg, I 23

No. 5
# Co5Se
Computed X-ray powder pattern, Cu Kα X-rays. Input: a structure optimized by DFT (GGA-PBE).
Kinematic intensities with the Lorentz-polarization factor, no thermal factor.

Cell and atoms:
```
data_Co5Se
_chemical_formula_sum 'Co5 Se1'
_cell_length_a 2.9865
_cell_length_b 2.9865
_cell_length_c 8.0721
_cell_angle_alpha 90.00
_cell_angle_beta 90.00
_cell_angle_gamma 90.00
_space_group_name_H-M_alt 'P 1'
_space_group_IT_number 1
_space_group_name_Hall 'P 1'
loop_
_atom_site_label
_atom_site_type_symbol
_atom_site_fract_x
_atom_site_fract_y
_atom_site_fract_z
Co1 Co 0.0000 0.0000 0.0000
Co2 Co 0.0000 0.0000 0.3220
Co3 Co 0.0000 0.0000 0.6780
Co4 Co 0.5000 0.5000 0.1507
Co5 Co 0.5000 0.5000 0.8493
Se1 Se 0.5000 0.5000 0.5000
```

Largest 10 diffraction maxima, low angle first, 2θ = 10–80°:
d = 4.036 Å, 22.02 deg, I 1
d = 2.401 Å, 37.46 deg, I 4
d = 2.112 Å, 42.82 deg, I 62
d = 1.999 Å, 45.37 deg, I 100
d = 1.672 Å, 54.91 deg, I 1
d = 1.614 Å, 57.05 deg, I 1
d = 1.493 Å, 62.16 deg, I 19
d = 1.345 Å, 69.92 deg, I 6
d = 1.283 Å, 73.89 deg, I 2
d = 1.268 Å, 74.89 deg, I 1

No. 6
# Y6SnPd2
Computed X-ray powder pattern, Cu Kα X-rays. Input: a structure optimized by DFT (GGA-PBE).
Kinematic intensities with the Lorentz-polarization factor, no thermal factor.

Cell and atoms:
```
data_Y6SnPd2
_chemical_formula_sum 'Y12 Sn2 Pd4'
_cell_length_a 8.6091
_cell_length_b 8.6091
_cell_length_c 8.6091
_cell_angle_alpha 113.08
_cell_angle_beta 110.56
_cell_angle_gamma 104.87
_space_group_name_H-M_alt 'P 1'
_space_group_IT_number 1
_space_group_name_Hall 'P 1'
loop_
_atom_site_label
_atom_site_type_symbol
_atom_site_fract_x
_atom_site_fract_y
_atom_site_fract_z
Y1 Y 0.0371 0.2360 0.8011
Y2 Y 0.1827 0.2898 0.4725
Y3 Y 0.1827 0.7102 0.8929
Y4 Y 0.3275 0.0253 0.6978
Y5 Y 0.3275 0.6298 0.3022
Y6 Y 0.4350 0.2360 0.1989
Y7 Y 0.5650 0.7640 0.8011
Y8 Y 0.6725 0.3702 0.6978
Y9 Y 0.6725 0.9747 0.3022
Y10 Y 0.8173 0.2898 0.1071
Y11 Y 0.8173 0.7102 0.5275
Y12 Y 0.9629 0.7640 0.1989
Sn1 Sn 0.0000 0.0000 0.0000
Sn2 Sn 0.5000 0.5000 0.0000
Pd1 Pd 0.1319 0.6319 0.5000
Pd2 Pd 0.3438 0.0000 0.3438
Pd3 Pd 0.6562 0.0000 0.6562
Pd4 Pd 0.8681 0.3681 0.5000
```

Largest 10 diffraction maxima, low angle first, 2θ = 10–80°:
d = 4.746 Å, 18.70 deg, I 24
d = 2.860 Å, 31.28 deg, I 92
d = 2.707 Å, 33.09 deg, I 68
d = 2.663 Å, 33.65 deg, I 100
d = 2.608 Å, 34.39 deg, I 67
d = 2.577 Å, 34.81 deg, I 34
d = 2.450 Å, 36.68 deg, I 31
d = 2.373 Å, 37.91 deg, I 38
d = 2.347 Å, 38.35 deg, I 29
d = 1.567 Å, 58.95 deg, I 39